Starting from a structure optimized by DFT (PBE+U), the X-ray diffraction stick pattern of Li4VO3F2 was computed for Cu Kα, 1.54184 Å.
Lines closer than 0.1° are merged.

Most intense lines, 2θ from 5° to 70°, by angle:
2θ 17.95, 4.942 Å, intensity 449
2θ 19.89, 4.464 Å, intensity 476
2θ 20.29, 4.376 Å, intensity 738
2θ 22.15, 4.013 Å, intensity 737
2θ 22.64, 3.927 Å, intensity 412
2θ 30.40, 2.940 Å, intensity 1000
2θ 43.00, 2.103 Å, intensity 631
2θ 53.68, 1.708 Å, intensity 552

Cell and atoms:
```
data_Li4VO3F2
_cell_length_a 5.417
_cell_length_b 5.417
_cell_length_c 7.974
_cell_angle_alpha 98.34
_cell_angle_beta 98.34
_cell_angle_gamma 66.41
_space_group_name_H-M_alt 'P 1'
_space_group_IT_number 1
loop_
_space_group_symop_operation_xyz
'x,y,z'
loop_
_atom_site_label
_atom_site_type_symbol
_atom_site_fract_x
_atom_site_fract_y
_atom_site_fract_z
Li1 Li 0.069 0.756 0.558
Li2 Li 0.128 0.473 0.865
Li3 Li 0.244 0.931 0.942
Li4 Li 0.473 0.128 0.365
Li5 Li 0.527 0.872 0.635
Li6 Li 0.756 0.069 0.058
Li7 Li 0.872 0.527 0.135
Li8 Li 0.931 0.244 0.442
V1 V 0.341 0.659 0.250
V2 V 0.659 0.341 0.750
O1 O 0.081 0.733 0.070
O2 O 0.267 0.919 0.430
O3 O 0.361 0.639 0.750
O4 O 0.639 0.361 0.250
O5 O 0.733 0.081 0.570
O6 O 0.919 0.267 0.930
F1 F 0.139 0.472 0.351
F2 F 0.472 0.139 0.851
F3 F 0.528 0.861 0.149
F4 F 0.861 0.528 0.649
```